Calculated PXRD pattern
Compound: Ac5Sn2Te12
Radiation: λ = 1.5418 Å (Cu Kα)
Structure: a crystal structure in Alexandria, relaxed with PBE
Kinematic intensities with the Lorentz-polarization factor, no thermal factor.

Atomic structure:
```
data_Ac5Sn2Te12
_chemical_formula_sum 'Ac10 Sn4 Te24'
_cell_length_a 17.974
_cell_length_b 8.578
_cell_length_c 10.400
_cell_angle_alpha 90.00
_cell_angle_beta 106.43
_cell_angle_gamma 90.00
_symmetry_space_group_name_H-M 'C 1 2/m 1'
_symmetry_Int_Tables_number 12
loop_
_symmetry_equiv_pos_as_xyz
'x,y,z'
'-x,-y,-z'
'-x,y,-z'
'x,-y,z'
'x+1/2,y+1/2,z'
'-x+1/2,-y+1/2,-z'
'-x+1/2,y+1/2,-z'
'x+1/2,-y+1/2,z'
loop_
_atom_site_label
_atom_site_type_symbol
_atom_site_fract_x
_atom_site_fract_y
_atom_site_fract_z
Ac1 Ac 0.000 0.000 0.000
Ac2 Ac 0.185 0.500 0.312
Ac3 Ac 0.206 0.500 0.845
Sn1 Sn 0.000 0.252 0.500
Te1 Te 0.008 0.500 0.710
Te2 Te 0.027 0.000 0.702
Te3 Te 0.147 0.252 0.056
Te4 Te 0.172 0.257 0.563
```

Largest 10 diffraction maxima, low angle first, 10° ≤ 2θ ≤ 90°:
d_spacing	two_theta	Rel. int.
4.774	18.59	69.8
4.446	19.97	79.8
3.251	27.44	100.0
3.040	29.38	36.1
2.873	31.13	78.5
2.862	31.25	36.1
2.600	34.50	40.1
2.506	35.84	33.7
2.382	37.76	30.2
2.144	42.14	38.4